Diffraction record for SeF4. The powder diffractogram is theoretical, not measured: it uses a PBE-relaxed structure and Cu Kα (λ = 1.5418 Å).

Main lines, low angle first (2θ from 5° to 70°):
d_spacing  I (rel.)  hkl
5.122  32  0 1 1
4.845  20  1 0 1
3.997  84  0 1 2
3.941  78  1 1 0
3.861  100  1 0 2
3.713  47  1 1 1
2.693  21  1 1 3
2.096  28  1 2 3
2.036  21  2 1 3
1.856  17  2 2 2
1.709  14  0 3 3
1.670  14  1 2 5

```
data_SeF4
_cell_length_a 5.3893
_cell_length_b 5.7789
_cell_length_c 11.0662
_cell_angle_alpha 90.00
_cell_angle_beta 90.00
_cell_angle_gamma 90.00
_space_group_name_H-M_alt 'P 21 21 21'
_space_group_IT_number 19
_space_group_name_Hall 'P 2ac 2ab'
loop_
_atom_site_label
_atom_site_type_symbol
_atom_site_fract_x
_atom_site_fract_y
_atom_site_fract_z
_atom_site_occupancy
Se1 Se 0.1596 0.0987 0.1235 1
F1 F 0.0140 0.8412 0.1976 1
F2 F 0.0929 0.9315 0.7228 1
F3 F 0.1610 0.6644 0.5477 1
F4 F 0.2213 0.0900 0.5160 1
```

---

Diffraction record for Sm2Se2F. The powder diffractogram is theoretical, not measured: it uses a PBE-relaxed structure and Cu Kα (λ = 1.5418 Å).

Main lines, low angle first (2θ from 5° to 70°):
d_spacing  I (rel.)  hkl
4.108  19  0 0 3
3.523  100  1 0 0
2.675  26  1 0 3
2.491  39  1 1 0
2.465  14  0 0 5
2.130  14  1 1 3
2.020  31  1 0 5
1.762  14  2 0 0
1.752  20  1 1 5
1.576  20  2 1 0
1.471  9  2 1 3
1.433  10  2 0 5

```
data_Sm2Se2F
_cell_length_a 3.5233
_cell_length_b 3.5233
_cell_length_c 12.3252
_cell_angle_alpha 90.00
_cell_angle_beta 90.00
_cell_angle_gamma 90.00
_space_group_name_H-M_alt 'P 4/m m m'
_space_group_IT_number 123
_space_group_name_Hall '-P 4 2'
loop_
_atom_site_label
_atom_site_type_symbol
_atom_site_fract_x
_atom_site_fract_y
_atom_site_fract_z
_atom_site_occupancy
Sm1 Sm 0.0000 0.0000 0.1795 1
Se1 Se 0.0000 0.0000 0.4093 1
F1 F 0.0000 0.0000 0.0000 1
```